Diffraction record for NaMgTaP2SO12. The powder XRD pattern is simulated, not measured: it uses a structure optimized by DFT (PBE) and Cu Kα.

Peak list (10 most intense, 10 to 80 degrees two-theta, by angle)
- 2θ 14.11, 6.276 Å, I = 100, (1 1 -1)
- 2θ 19.64, 4.521 Å, I = 60, (2 0 -2)
- 2θ 20.37, 4.359 Å, I = 61, (0 2 0)
- 2θ 23.59, 3.771 Å, I = 53, (0 2 1)
- 2θ 24.87, 3.580 Å, I = 23, (2 2 0)
- 2θ 28.44, 3.138 Å, I = 38, (4 0 0)
- 2θ 31.40, 2.849 Å, I = 65, (3 1 1)
- 2θ 32.35, 2.767 Å, I = 25, (5 1 -1)
- 2θ 35.67, 2.517 Å, I = 24, (6 0 -2)
- 2θ 48.25, 1.886 Å, I = 23, (6 2 -4)

Structural model:
Cell: 15.1221 8.7064 9.0552 Å, 90.00 123.79 90.00°
Space group Cc (No. 9)
Symmetry-distinct sites (fractional):
Na: 0.0000 0.2364 0.0000 [4 per cell]
Mg: 0.1440 0.2405 0.4140 [4 per cell]
Ta: 0.3512 0.2489 0.0371 [4 per cell]
P: 0.2405 0.0414 0.2165 [4 per cell]
P: 0.3875 0.3908 0.7153 [4 per cell]
S: 0.1003 0.3965 0.7208 [4 per cell]
O: 0.0067 0.3154 0.7095 [4 per cell]
O: 0.0932 0.4412 0.2471 [4 per cell]
O: 0.0986 0.3660 0.5627 [4 per cell]
O: 0.1737 0.1529 0.2413 [4 per cell]
O: 0.1754 0.0575 0.5566 [4 per cell]
O: 0.1957 0.3236 0.8847 [4 per cell]
O: 0.2871 0.3331 0.5543 [4 per cell]
O: 0.3129 0.0653 0.8883 [4 per cell]
O: 0.3254 0.1371 0.2014 [4 per cell]
O: 0.3847 0.3634 0.8887 [4 per cell]
O: 0.3894 0.4258 0.2013 [4 per cell]
O: 0.4879 0.3240 0.7440 [4 per cell]